Computed powder XRD pattern of SiO2 for λ = 1.5418 Å (Cu Kα), from DFT lattice parameters and positions (GGA-PBE).
Intensities are scaled so that the largest is 100.

Peak list (12 most intense, 10° ≤ 2θ ≤ 80°, in order of rising 2θ)
2theta  intensity
19.4  100.0
20.6  54.1
22.0  55.8
28.5  19.9
34.0  23.6
37.0  11.1
40.9  9.0
53.0  9.6
57.2  10.1
71.5  8.9
75.4  11.2
78.4  7.7

Structural model:
a b c (Å): 5.2762 5.2762 8.6120
angles (deg): 90.00 90.00 120.00
Atoms (fractional coordinates):
Si1 0.3333 0.6667 0.0624
Si2 0.3333 0.6667 0.4376
Si3 0.6667 0.3333 0.5624
Si4 0.6667 0.3333 0.9376
O1 0.0000 0.5000 0.0000
O2 0.0000 0.5000 0.5000
O3 0.3333 0.6667 0.2500
O4 0.5000 0.0000 0.0000
O5 0.5000 0.0000 0.5000
O6 0.5000 0.5000 0.0000
O7 0.5000 0.5000 0.5000
O8 0.6667 0.3333 0.7500

Computed powder XRD pattern of Zr2Al for λ = 1.5418 Å (Cu Kα), from DFT lattice parameters and positions (GGA-PBE).
Intensities are scaled so that the largest is 100.

Peak list (12 most intense, 10° ≤ 2θ ≤ 80°, in order of rising 2θ)
2theta  intensity
20.9  10.0
25.7  36.2
36.6  98.9
36.9  100.0
45.3  7.7
52.9  34.3
59.6  6.6
62.4  6.6
65.9  16.8
66.1  34.4
74.6  23.2
77.8  10.3

Structural model:
a b c (Å): 4.9103 4.9103 5.9530
angles (deg): 90.00 90.00 120.00
Atoms (fractional coordinates):
Zr1 0.0000 0.0000 0.0000
Zr2 0.0000 0.0000 0.5000
Zr3 0.3333 0.6667 0.2500
Zr4 0.6667 0.3333 0.7500
Al1 0.3333 0.6667 0.7500
Al2 0.6667 0.3333 0.2500

Computed powder XRD pattern of SrNd2S4 for λ = 1.5418 Å (Cu Kα), from DFT lattice parameters and positions (GGA-PBE).
Intensities are scaled so that the largest is 100.

Peak list (12 most intense, 10° ≤ 2θ ≤ 80°, in order of rising 2θ)
2theta  intensity
25.1  94.4
32.5  100.0
38.7  64.2
46.7  39.6
49.1  26.1
51.4  8.9
53.7  30.7
58.1  8.4
66.2  37.7
68.2  7.7
70.1  14.9
79.4  8.3

Structural model:
a b c (Å): 7.5359 7.5359 7.5359
angles (deg): 109.44 109.44 109.54
Atoms (fractional coordinates):
Sr1 0.0000 0.0000 0.0000
Sr2 0.7500 0.2500 0.5000
Nd1 0.2479 0.1250 0.6229
Nd2 0.3750 0.7521 0.8771
Nd3 0.5021 0.6250 0.3771
Nd4 0.8750 0.4979 0.1229
S1 0.1342 0.3855 0.4027
S2 0.1355 0.3842 0.9027
S3 0.2685 0.8658 0.2513
S4 0.4815 0.2328 0.0973
S5 0.6145 0.0172 0.7487
S6 0.6158 0.5185 0.7513
S7 0.7672 0.8645 0.2487
S8 0.9828 0.7315 0.5973

Computed powder XRD pattern of La10ZnPb5 for λ = 1.5418 Å (Cu Kα), from DFT lattice parameters and positions (GGA-PBE).
Intensities are scaled so that the largest is 100.

Peak list (12 most intense, 10° ≤ 2θ ≤ 80°, in order of rising 2θ)
2theta  intensity
20.7  17.4
27.8  22.0
28.6  40.4
31.1  93.3
31.8  100.0
34.1  21.8
39.6  18.6
40.2  21.8
40.9  17.5
50.1  17.0
51.7  26.1
59.1  24.0

Structural model:
a b c (Å): 9.6643 9.6643 9.6643
angles (deg): 96.35 96.35 141.16
Atoms (fractional coordinates):
La1 0.0000 0.5000 0.5000
La2 0.0285 0.1623 0.7024
La3 0.1623 0.4599 0.1337
La4 0.3261 0.0285 0.8663
La5 0.4599 0.3261 0.2976
La6 0.5000 0.0000 0.5000
La7 0.5401 0.8377 0.8663
La8 0.6739 0.5401 0.7024
La9 0.8377 0.9715 0.2976
La10 0.9715 0.6739 0.1337
Zn1 0.0000 0.0000 0.0000
Pb1 0.0882 0.9118 0.5000
Pb2 0.4118 0.5882 0.5000
Pb3 0.5000 0.5000 0.0000
Pb4 0.5882 0.0882 0.1764
Pb5 0.9118 0.4118 0.8236

Computed powder XRD pattern of BiI3O11 for λ = 1.5418 Å (Cu Kα), from DFT lattice parameters and positions (GGA-PBE).
Intensities are scaled so that the largest is 100.

Peak list (12 most intense, 10° ≤ 2θ ≤ 80°, in order of rising 2θ)
2theta  intensity
12.8  56.2
15.0  52.5
16.2  35.3
23.5  100.0
25.8  42.4
25.9  48.2
27.8  35.3
28.1  43.3
29.7  28.4
30.2  26.7
38.2  31.6
46.9  28.2

Structural model:
a b c (Å): 7.1454 7.5015 10.8489
angles (deg): 94.67 106.40 109.75
Atoms (fractional coordinates):
Bi1 0.1003 0.4130 0.2853
Bi2 0.8997 0.5870 0.7147
I1 0.2671 0.7247 0.0458
I2 0.2786 0.3619 0.6743
I3 0.3153 0.8605 0.5742
I4 0.6847 0.1395 0.4258
I5 0.7214 0.6381 0.3257
I6 0.7329 0.2753 0.9542
O1 0.0700 0.6272 0.1281
O2 0.0979 0.8007 0.9135
O3 0.1045 0.8566 0.6418
O4 0.1370 0.7312 0.4074
O5 0.2083 0.1245 0.2704
O6 0.2326 0.5595 0.7612
O7 0.2610 0.2179 0.9004
O8 0.2970 0.4759 0.5323
O9 0.3825 0.1083 0.5431
O10 0.4354 0.9576 0.1499
O11 0.4375 0.5476 0.2288
O12 0.5625 0.4524 0.7712
O13 0.5646 0.0424 0.8501
O14 0.6175 0.8917 0.4569
O15 0.7030 0.5241 0.4677
O16 0.7390 0.7821 0.0996
O17 0.7674 0.4405 0.2388
O18 0.7917 0.8755 0.7296
O19 0.8630 0.2688 0.5926
O20 0.8955 0.1434 0.3582
O21 0.9021 0.1993 0.0865
O22 0.9300 0.3728 0.8719

Computed powder XRD pattern of DyNi4As2 for λ = 1.5418 Å (Cu Kα), from DFT lattice parameters and positions (GGA-PBE).
Intensities are scaled so that the largest is 100.

Peak list (12 most intense, 10° ≤ 2θ ≤ 80°, in order of rising 2θ)
2theta  intensity
26.7  14.0
35.0  25.7
36.6  100.0
39.3  39.6
42.7  27.5
46.4  45.2
48.3  27.0
52.0  14.9
57.9  12.0
64.0  18.2
69.5  20.9
74.9  10.9

Structural model:
a b c (Å): 7.2471 7.2471 3.7693
angles (deg): 90.00 90.00 90.00
Atoms (fractional coordinates):
Dy1 0.0000 0.0000 0.0000
Dy2 0.5000 0.5000 0.5000
Ni1 0.0882 0.3461 0.5000
Ni2 0.1539 0.5882 0.0000
Ni3 0.3461 0.0882 0.5000
Ni4 0.4118 0.8461 0.0000
Ni5 0.5882 0.1539 0.0000
Ni6 0.6539 0.9118 0.5000
Ni7 0.8461 0.4118 0.0000
Ni8 0.9118 0.6539 0.5000
As1 0.2179 0.7821 0.5000
As2 0.2821 0.2821 0.0000
As3 0.7179 0.7179 0.0000
As4 0.7821 0.2179 0.5000

Computed powder XRD pattern of CaYAl3O7 for λ = 1.5418 Å (Cu Kα), from DFT lattice parameters and positions (GGA-PBE).
Intensities are scaled so that the largest is 100.

Peak list (12 most intense, 10° ≤ 2θ ≤ 80°, in order of rising 2θ)
2theta  intensity
11.4  18.7
16.1  18.1
23.8  33.6
28.8  13.0
28.9  17.4
31.1  100.0
31.2  37.8
36.5  11.7
44.0  16.3
49.8  13.5
51.5  13.0
51.7  30.7

Structural model:
a b c (Å): 5.1055 7.7441 7.7861
angles (deg): 90.00 90.12 90.00
Atoms (fractional coordinates):
Ca1 0.0148 0.0000 0.0817
Ca2 0.9852 0.5000 0.9183
Y1 0.0198 0.6786 0.4047
Y2 0.9802 0.1786 0.5953
Al1 0.4561 0.1942 0.8894
Al2 0.4584 0.4822 0.6009
Al3 0.4984 0.8394 0.7479
Al4 0.5016 0.3394 0.2521
Al5 0.5416 0.9822 0.3991
Al6 0.5439 0.6942 0.1106
O1 0.1993 0.9786 0.4084
O2 0.2027 0.6979 0.1286
O3 0.2886 0.4305 0.4071
O4 0.2916 0.0007 0.8315
O5 0.3044 0.3400 0.7452
O6 0.3051 0.6827 0.6415
O7 0.3146 0.2410 0.0897
O8 0.6854 0.7410 0.9103
O9 0.6949 0.1827 0.3585
O10 0.6956 0.8400 0.2548
O11 0.7084 0.5007 0.1685
O12 0.7114 0.9305 0.5929
O13 0.7973 0.1979 0.8714
O14 0.8007 0.4786 0.5916